NdSm3Cd6: theoretical powder XRD pattern (Cu Kα (weighted mean of Kα1 and Kα2)), based on a cell relaxed with PBE.
Kinematic intensities with the Lorentz-polarization factor, no thermal factor.

The 12 most intense peaks (15° ≤ 2θ ≤ 90°), by intensity:
d/Å	Position (°2θ)	Rel. int.	hkl
2.690	33.30	1000	3 1 -1
2.654	33.77	971	1 1 3
2.667	33.60	492	2 0 -4
2.619	34.24	485	0 2 0
1.869	48.73	345	2 2 -4
1.525	60.71	171	3 3 -1
1.519	61.01	170	1 3 3
1.551	59.59	170	5 1 -5
1.911	47.59	169	4 0 2
1.544	59.92	168	4 2 2
1.530	60.50	165	1 1 -7
1.189	80.86	138	5 3 -5

Structure:
a b c (Å): 9.407 5.238 11.263
angles (deg): 90.00 105.83 90.00
Fractional coordinates of all 20 atoms:
Nd (0.057, 0.250, 0.389)
Nd (0.943, 0.750, 0.611)
Sm (0.236, 0.250, 0.998)
Sm (0.351, 0.750, 0.792)
Sm (0.476, 0.250, 0.609)
Sm (0.524, 0.750, 0.391)
Sm (0.649, 0.250, 0.208)
Sm (0.764, 0.750, 0.002)
Cd (0.052, 0.750, 0.902)
Cd (0.144, 0.750, 0.194)
Cd (0.151, 0.250, 0.695)
Cd (0.242, 0.750, 0.496)
Cd (0.341, 0.250, 0.291)
Cd (0.450, 0.750, 0.093)
Cd (0.550, 0.250, 0.907)
Cd (0.659, 0.750, 0.709)
Cd (0.758, 0.250, 0.504)
Cd (0.849, 0.750, 0.305)
Cd (0.856, 0.250, 0.806)
Cd (0.948, 0.250, 0.098)